[1]
Theoretical X-ray powder pattern of SrCl3 for Cu Kα (weighted mean of Kα1 and Kα2), from a cell relaxed with GGA-PBE.
Intensities are scaled so that the largest is 100.

Top 10 peaks for 2θ from 15° to 90°, by angle:
(hkl), two_theta, I/Imax
1 0 0, 16.1, 12
1 0 1, 22.4, 20
0 0 2, 31.3, 35
2 0 0, 32.6, 23
2 0 1, 36.3, 100
2 0 2, 45.8, 16
2 2 0, 58.2, 15
2 0 3, 59.0, 22
2 2 2, 67.6, 19
4 0 1, 70.6, 12

Structural model:
```
data_SrCl3
_symmetry_space_group_name_H-M 'P 63/m m c'
_symmetry_Int_Tables_number 194
_symmetry_space_group_name_Hall '-P 6c 2c'
_cell_length_a 6.3398
_cell_length_b 6.3398
_cell_length_c 5.7210
_cell_angle_alpha 90.00
_cell_angle_beta 90.00
_cell_angle_gamma 120.00
loop_
_atom_site_label
_atom_site_fract_x
_atom_site_fract_y
_atom_site_fract_z
Sr1 0.3333 0.6667 0.2500
Cl1 0.1730 0.3461 0.7500
```

[2]
Theoretical X-ray powder pattern of PrLuS3 for Cu Kα (weighted mean of Kα1 and Kα2), from a cell relaxed with GGA-PBE.
Intensities are scaled so that the largest is 100.

Top 10 peaks for 2θ from 15° to 90°, by angle:
(hkl), two_theta, I/Imax
0 2 2, 23.4, 100
1 1 0, 23.9, 28
1 1 1, 25.7, 20
1 3 0, 31.3, 33
1 3 1, 32.7, 36
1 3 2, 36.7, 33
1 1 3, 37.2, 21
0 0 4, 37.8, 21
0 6 2, 47.3, 25
2 2 2, 52.9, 23

Structural model:
```
data_PrLuS3
_symmetry_space_group_name_H-M 'C m c m'
_symmetry_Int_Tables_number 63
_symmetry_space_group_name_Hall '-C 2c 2'
_cell_length_a 3.8926
_cell_length_b 12.6051
_cell_length_c 9.5224
_cell_angle_alpha 90.00
_cell_angle_beta 90.00
_cell_angle_gamma 90.00
loop_
_atom_site_label
_atom_site_fract_x
_atom_site_fract_y
_atom_site_fract_z
Pr1 0.0000 0.2472 0.2500
Lu1 0.0000 0.5000 0.0000
S1 0.0000 0.1408 0.5626
S2 0.0000 0.4140 0.7500
```

[3]
Theoretical X-ray powder pattern of NbO2 for Cu Kα (weighted mean of Kα1 and Kα2), from a cell relaxed with GGA-PBE.
Intensities are scaled so that the largest is 100.

Top 10 peaks for 2θ from 15° to 90°, by angle:
(hkl), two_theta, I/Imax
2 2 0, 25.7, 100
2 0 2, 34.7, 65
4 0 0, 36.7, 17
4 2 2, 51.4, 53
4 4 0, 52.8, 18
6 2 0, 59.7, 13
6 0 2, 64.8, 15
2 2 4, 67.2, 8
6 4 2, 76.8, 8
2 8 2, 88.3, 7

Structural model:
```
data_NbO2
_symmetry_space_group_name_H-M 'I 41/a'
_symmetry_Int_Tables_number 88
_cell_length_a 9.8002
_cell_length_b 9.8002
_cell_length_c 6.0883
_cell_angle_alpha 90.00
_cell_angle_beta 90.00
_cell_angle_gamma 90.00
loop_
_symmetry_equiv_pos_as_xyz
'x,y,z'
'-x,-y,-z'
'-y+3/4,x+1/4,z+1/4'
'y+3/4,-x+1/4,-z+1/4'
'-x+1/2,-y,z+1/2'
'x+1/2,y,-z+1/2'
'y+3/4,-x+3/4,z+3/4'
'-y+3/4,x+3/4,-z+3/4'
'x+1/2,y+1/2,z+1/2'
'-x+1/2,-y+1/2,-z+1/2'
'-y+1/4,x+3/4,z+3/4'
'y+1/4,-x+3/4,-z+3/4'
'-x,-y+1/2,z'
'x,y+1/2,-z'
'y+1/4,-x+1/4,z+1/4'
'-y+1/4,x+1/4,-z+1/4'
loop_
_atom_site_label
_atom_site_fract_x
_atom_site_fract_y
_atom_site_fract_z
Nb1 0.0135 0.4928 0.2764
O1 0.1042 0.0980 0.0091
O2 0.1069 0.1149 0.4847
```

[4]
Theoretical X-ray powder pattern of Na2Te2H4O7 for Cu Kα (weighted mean of Kα1 and Kα2), from a cell relaxed with GGA-PBE.
Intensities are scaled so that the largest is 100.

Top 10 peaks for 2θ from 15° to 90°, by angle:
(hkl), two_theta, I/Imax
1 0 -1, 17.1, 60
-1 1 1, 20.4, 100
1 1 -1, 24.4, 44
1 1 1, 25.7, 56
1 0 -3, 27.0, 51
1 0 3, 28.8, 48
1 -1 3, 29.7, 52
0 0 4, 30.6, 47
-1 2 1, 31.1, 73
2 -1 0, 32.1, 65

Structural model:
```
data_Na2Te2H4O7
_symmetry_space_group_name_H-M 'P -1'
_symmetry_Int_Tables_number 2
_cell_length_a 5.7412
_cell_length_b 6.3339
_cell_length_c 11.7485
_cell_angle_alpha 93.78
_cell_angle_beta 92.79
_cell_angle_gamma 103.01
loop_
_symmetry_equiv_pos_as_xyz
'x,y,z'
'-x,-y,-z'
loop_
_atom_site_label
_atom_site_fract_x
_atom_site_fract_y
_atom_site_fract_z
Na1 0.1063 0.2727 0.0497
Na2 0.3944 0.7201 0.4328
Te1 0.0449 0.9984 0.6373
Te2 0.4594 0.9406 0.1373
H1 0.0898 0.4014 0.8114
H2 0.2311 0.4694 0.6365
H3 0.2976 0.5918 0.8675
H4 0.4484 0.6581 0.6864
O1 0.0278 0.7333 0.3231
O2 0.1438 0.4935 0.8842
O3 0.2274 0.0535 0.5031
O4 0.2658 0.9957 0.9494
O5 0.3733 0.5741 0.6137
O6 0.3809 0.1090 0.7190
O7 0.4273 0.2242 0.1790
```

[5]
Theoretical X-ray powder pattern of Ga2BiAs for Cu Kα (weighted mean of Kα1 and Kα2), from a cell relaxed with GGA-PBE.
Intensities are scaled so that the largest is 100.

Top 10 peaks for 2θ from 15° to 90°, by angle:
(hkl), two_theta, I/Imax
1 0 1, 24.0, 12
0 1 2, 25.2, 100
1 1 0, 41.6, 37
0 1 8, 41.7, 34
2 0 2, 49.3, 37
1 0 10, 49.4, 12
2 0 8, 60.4, 12
1 2 2, 66.4, 10
3 0 0, 76.0, 18
3 0 6, 81.6, 11

Structural model:
```
data_Ga2BiAs
_symmetry_space_group_name_H-M 'R 3 m'
_symmetry_Int_Tables_number 160
_symmetry_space_group_name_Hall 'R 3 -2"'
_cell_length_a 4.3403
_cell_length_b 4.3403
_cell_length_c 21.1780
_cell_angle_alpha 90.00
_cell_angle_beta 90.00
_cell_angle_gamma 120.00
loop_
_atom_site_label
_atom_site_fract_x
_atom_site_fract_y
_atom_site_fract_z
Ga1 0.0000 0.0000 0.0000
Ga2 0.0000 0.0000 0.4843
Bi1 0.0000 0.0000 0.8675
As1 0.0000 0.0000 0.3666
```

[6]
Theoretical X-ray powder pattern of Na2CdSn for Cu Kα (weighted mean of Kα1 and Kα2), from a cell relaxed with GGA-PBE.
Intensities are scaled so that the largest is 100.

Top 10 peaks for 2θ from 15° to 90°, by angle:
(hkl), two_theta, I/Imax
0 0 2, 17.5, 87
1 0 1, 22.0, 48
1 0 3, 33.4, 53
1 1 0, 35.3, 100
1 1 2, 39.7, 67
2 0 3, 49.4, 23
1 1 4, 50.8, 34
2 1 3, 62.2, 20
1 1 6, 66.3, 41
2 2 0, 74.8, 22

Structural model:
```
data_Na2CdSn
_symmetry_space_group_name_H-M 'P 63/m m c'
_symmetry_Int_Tables_number 194
_symmetry_space_group_name_Hall '-P 6c 2c'
_cell_length_a 5.0790
_cell_length_b 5.0790
_cell_length_c 10.1632
_cell_angle_alpha 90.00
_cell_angle_beta 90.00
_cell_angle_gamma 120.00
loop_
_atom_site_label
_atom_site_fract_x
_atom_site_fract_y
_atom_site_fract_z
Na1 0.3333 0.6667 0.0815
Cd1 0.0000 0.0000 0.2500
Sn1 0.3333 0.6667 0.7500
```